Diffraction record for KAuC2N2. The powder X-ray diffraction pattern is computed, not measured: it uses DFT lattice parameters and positions (GGA-PBE) and λ = 1.5418 Å (Cu Kα).
Intensities are scaled so that the largest is 100.

Crystal structure
Cell: 10.3825 10.3825 18.4846 Å, 90.00 90.00 120.00°
Space group R-3 (No. 148, hexagonal axes)
One atom of each set of equivalent atoms:
K1 0.0000 0.0000 0.0000
K2 0.0000 0.0000 0.2263
Au1 0.0000 0.5000 0.5000
C1 0.0513 0.4778 0.0052
N1 0.0330 0.8069 0.6555

The 12 most intense peaks (10° ≤ 2θ ≤ 90°), by angle:
2θ = 10.9°, rel. 54, hkl 1 0 1
2θ = 13.7°, rel. 61, hkl 0 1 2
2θ = 14.4°, rel. 39, hkl 0 0 3
2θ = 20.3°, rel. 77, hkl 0 2 1
2θ = 22.0°, rel. 100, hkl 2 0 2
2θ = 26.7°, rel. 28, hkl 3 -1 1
2θ = 27.7°, rel. 92, hkl 0 2 4
2θ = 29.0°, rel. 25, hkl 0 0 6
2θ = 31.3°, rel. 25, hkl 2 0 5
2θ = 34.6°, rel. 47, hkl 2 2 0
2θ = 37.6°, rel. 49, hkl 2 2 3
2θ = 45.7°, rel. 29, hkl 4 -2 6

***

Diffraction record for KAuC2N2. The powder X-ray diffraction pattern is computed, not measured: it uses DFT lattice parameters and positions (GGA-PBE) and λ = 1.5418 Å (Cu Kα).
Intensities are scaled so that the largest is 100.

Crystal structure
Cell: 7.5814 7.5814 25.7690 Å, 90.00 90.00 120.00°
Space group R-3 (No. 148, hexagonal axes)
One atom of each set of equivalent atoms:
K1 0.0000 0.0000 0.0000
K2 0.0000 0.0000 0.3439
Au1 0.0000 0.5000 0.5000
C1 0.0058 0.4076 0.4280
N1 0.0098 0.3237 0.7190

The 12 most intense peaks (10° ≤ 2θ ≤ 90°), by angle:
2θ = 10.3°, rel. 100, hkl 0 0 3
2θ = 13.9°, rel. 40, hkl 1 0 1
2θ = 15.1°, rel. 31, hkl 0 1 2
2θ = 20.7°, rel. 46, hkl 0 0 6
2θ = 25.7°, rel. 48, hkl 2 -1 3
2θ = 27.4°, rel. 78, hkl 0 2 1
2θ = 28.0°, rel. 73, hkl 2 0 2
2θ = 30.6°, rel. 45, hkl 0 2 4
2θ = 32.3°, rel. 36, hkl 2 0 5
2θ = 36.7°, rel. 32, hkl 0 2 7
2θ = 39.2°, rel. 28, hkl 2 0 8
2θ = 52.8°, rel. 33, hkl 2 2 6

***

Diffraction record for KNiAu3C6N6. The powder X-ray diffraction pattern is computed, not measured: it uses DFT lattice parameters and positions (GGA-PBE) and λ = 1.5418 Å (Cu Kα).
Intensities are scaled so that the largest is 100.

Crystal structure
Cell: 7.0074 7.0074 7.5943 Å, 90.00 90.00 120.00°
Space group P312 (No. 149)
One atom of each set of equivalent atoms:
K1 0.0000 0.0000 0.0000
Ni1 0.3333 0.6667 0.0000
Au1 0.3442 0.1721 0.5000
C1 0.3404 0.0063 0.2854
N1 0.0978 0.4316 0.1623

The 12 most intense peaks (10° ≤ 2θ ≤ 90°), by angle:
2θ = 11.7°, rel. 100, hkl 0 0 1
2θ = 18.7°, rel. 80, hkl 1 0 1
2θ = 23.4°, rel. 38, hkl 0 0 2
2θ = 28.0°, rel. 42, hkl 2 -1 1
2θ = 29.4°, rel. 69, hkl 2 0 0
2θ = 31.8°, rel. 96, hkl 2 0 1
2θ = 38.0°, rel. 80, hkl 2 0 2
2θ = 41.1°, rel. 16, hkl 3 -1 1
2θ = 46.7°, rel. 29, hkl 2 0 3
2θ = 53.7°, rel. 17, hkl 4 -2 1
2θ = 57.2°, rel. 25, hkl 2 0 4
2θ = 58.0°, rel. 29, hkl 4 -2 2

***

Diffraction record for LiAuC2. The powder X-ray diffraction pattern is computed, not measured: it uses DFT lattice parameters and positions (GGA-PBE) and λ = 1.5418 Å (Cu Kα).
Intensities are scaled so that the largest is 100.

Crystal structure
Cell: 3.8679 3.8679 5.2449 Å, 90.00 90.00 120.00°
Space group P-6m2 (No. 187)
One atom of each set of equivalent atoms:
Li1 0.0000 0.0000 0.0000
Au1 0.6667 0.3333 0.5000
C1 0.6667 0.3333 0.1190

The 12 most intense peaks (10° ≤ 2θ ≤ 90°), by angle:
2θ = 16.9°, rel. 59, hkl 0 0 1
2θ = 26.6°, rel. 100, hkl 1 0 0
2θ = 31.7°, rel. 91, hkl 1 0 1
2θ = 34.2°, rel. 15, hkl 0 0 2
2θ = 43.8°, rel. 43, hkl 1 0 2
2θ = 47.0°, rel. 22, hkl 1 1 0
2θ = 50.3°, rel. 24, hkl 1 1 1
2θ = 57.8°, rel. 18, hkl 2 0 1
2θ = 59.4°, rel. 19, hkl 1 1 2
2θ = 59.7°, rel. 20, hkl 1 0 3
2θ = 77.6°, rel. 16, hkl 2 1 1
2θ = 85.1°, rel. 14, hkl 2 1 2

***

Diffraction record for AuC2N3. The powder X-ray diffraction pattern is computed, not measured: it uses DFT lattice parameters and positions (GGA-PBE) and λ = 1.5418 Å (Cu Kα).
Intensities are scaled so that the largest is 100.

Crystal structure
Cell: 12.912 12.613 6.748 Å, 90.00 95.40 90.00°
Space group C2/c (No. 15)
One atom of each set of equivalent atoms:
Au1 0.000 0.117 0.250
Au2 0.000 0.366 0.250
C1 0.120 0.184 0.903
C2 0.120 0.298 0.639
N1 0.085 0.127 0.020
N2 0.086 0.356 0.510
N3 0.165 0.241 0.779

The 12 most intense peaks (10° ≤ 2θ ≤ 90°), by angle:
2θ = 13.8°, rel. 100, hkl 2 0 0
2θ = 15.9°, rel. 46, hkl 1 1 -1
2θ = 17.0°, rel. 45, hkl 1 1 1
2θ = 24.6°, rel. 36, hkl 3 1 -1
2θ = 25.6°, rel. 26, hkl 1 3 -1
2θ = 26.3°, rel. 24, hkl 1 3 1
2θ = 26.5°, rel. 17, hkl 0 0 2
2θ = 26.7°, rel. 28, hkl 3 1 1
2θ = 28.3°, rel. 19, hkl 0 4 0
2θ = 31.6°, rel. 31, hkl 2 4 0
2θ = 36.9°, rel. 19, hkl 4 0 -2
2θ = 40.8°, rel. 18, hkl 2 4 -2

***

Diffraction record for AuC2N3. The powder X-ray diffraction pattern is computed, not measured: it uses DFT lattice parameters and positions (GGA-PBE) and λ = 1.5418 Å (Cu Kα).
Intensities are scaled so that the largest is 100.

Crystal structure
Cell: 3.9302 3.9302 24.4801 Å, 90.00 90.00 120.00°
Space group P3_121 (No. 152)
One atom of each set of equivalent atoms:
Au1 0.0000 0.2558 0.1667
C1 0.0819 0.6889 0.7129
N1 0.0000 0.5105 0.6667
N2 0.1640 0.8169 0.7573

The 12 most intense peaks (10° ≤ 2θ ≤ 90°), by angle:
2θ = 10.8°, rel. 100, hkl 0 0 3
2θ = 21.8°, rel. 25, hkl 0 0 6
2θ = 26.4°, rel. 67, hkl 1 0 1
2θ = 27.2°, rel. 59, hkl 0 1 2
2θ = 28.4°, rel. 12, hkl 1 0 3
2θ = 30.0°, rel. 37, hkl 1 0 4
2θ = 32.0°, rel. 24, hkl 0 1 5
2θ = 36.8°, rel. 17, hkl 1 0 7
2θ = 39.6°, rel. 18, hkl 0 1 8
2θ = 45.6°, rel. 13, hkl 1 0 10
2θ = 47.6°, rel. 16, hkl 1 1 3
2θ = 51.6°, rel. 12, hkl 1 1 6